Entry 1:
Diffraction record for VAsO5. The powder XRD pattern is calculated, not measured: it uses a cell relaxed with PBE+U and Cu Kα, 1.54184 Å.

Structure:
```
data_VAsO5
_chemical_formula_sum 'V4 As4 O20'
_space_group_name_H-M_alt 'P 1 21/c 1'
_space_group_IT_number 14
_space_group_name_Hall '-P 2ybc'
_cell_length_a 6.4241
_cell_length_b 8.7363
_cell_length_c 9.0817
_cell_angle_alpha 90.00
_cell_angle_beta 134.81
_cell_angle_gamma 90.00
loop_
_atom_site_label
_atom_site_type_symbol
_atom_site_fract_x
_atom_site_fract_y
_atom_site_fract_z
V1 V 0.1232 0.1751 0.1582
As1 As 0.3765 0.7474 0.8408
O1 O 0.1087 0.1425 0.6401
O2 O 0.1276 0.6196 0.6386
O3 O 0.2158 0.6342 0.3881
O4 O 0.3520 0.1392 0.4439
O5 O 0.4667 0.1359 0.2115
```

Principal peaks in the range 2θ = 5–70°, sorted by position:
| (hkl) | d (Å) | two_theta | I_rel |
| --- | --- | --- | --- |
| 1 1 -1 | 5.177 | 17.13 | 23 |
| 0 2 0 | 4.368 | 20.33 | 96 |
| 2 0 -2 | 3.214 | 27.76 | 63 |
| 0 1 2 | 3.021 | 29.57 | 100 |
| 2 2 -2 | 2.589 | 34.65 | 39 |
| 1 4 -4 | 1.489 | 62.38 | 24 |



Entry 2:
Diffraction record for Li7Nb2Fe3O16. The powder XRD pattern is calculated, not measured: it uses a cell relaxed with PBE+U and Cu Kα, 1.54184 Å.

Structure:
```
data_Li7Nb2Fe3O16
_chemical_formula_sum 'Li7 Nb2 Fe3 O16'
_space_group_name_H-M_alt 'P 1'
_space_group_IT_number 1
_space_group_name_Hall 'P 1'
_cell_length_a 5.8696
_cell_length_b 5.9517
_cell_length_c 9.6844
_cell_angle_alpha 90.81
_cell_angle_beta 90.60
_cell_angle_gamma 119.16
loop_
_atom_site_label
_atom_site_type_symbol
_atom_site_fract_x
_atom_site_fract_y
_atom_site_fract_z
Li1 Li 0.0000 0.0000 0.0000
Li2 Li 0.0010 0.4872 0.1859
Li3 Li 0.3489 0.6762 0.4935
Li4 Li 0.4888 0.4860 0.1845
Li5 Li 0.6553 0.3147 0.3950
Li6 Li 0.6571 0.3158 0.9021
Li7 Li 0.8289 0.6598 0.6798
Nb1 Nb 0.3056 0.6105 0.9087
Nb2 Nb 0.9928 0.9819 0.3925
Fe1 Fe 0.3230 0.1444 0.6756
Fe2 Fe 0.4856 0.9709 0.1753
Fe3 Fe 0.8303 0.1527 0.6771
O1 O 0.0143 0.0164 0.7793
O2 O 0.1677 0.8656 0.5544
O3 O 0.1714 0.2963 0.5556
O4 O 0.1767 0.3572 0.0393
O5 O 0.1966 0.8243 0.0509
O6 O 0.3247 0.1325 0.2952
O7 O 0.3503 0.6909 0.2824
O8 O 0.4787 0.9948 0.7897
O9 O 0.4875 0.4777 0.7979
O10 O 0.6264 0.8265 0.0470
O11 O 0.6362 0.2806 0.0908
O12 O 0.6465 0.3006 0.5868
O13 O 0.7132 0.8794 0.5518
O14 O 0.8119 0.1364 0.2948
O15 O 0.8310 0.6522 0.3226
O16 O 0.9833 0.4677 0.7961
```

Principal peaks in the range 2θ = 5–70°, sorted by position:
| (hkl) | d (Å) | two_theta | I_rel |
| --- | --- | --- | --- |
| 0 1 0 | 5.196 | 17.06 | 42 |
| 0 1 -1 | 4.621 | 19.21 | 100 |
| 1 0 -1 | 4.567 | 19.44 | 47 |
| 1 -1 1 | 4.507 | 19.70 | 90 |
| 0 1 2 | 3.507 | 25.40 | 54 |
| 1 1 2 | 2.520 | 35.63 | 51 |



Entry 3:
Diffraction record for Li2TiFeO4. The powder XRD pattern is calculated, not measured: it uses a cell relaxed with PBE+U and Cu Kα, 1.54184 Å.

Structure:
```
data_Li2TiFeO4
_chemical_formula_sum 'Li4 Ti2 Fe2 O8'
_space_group_name_H-M_alt 'P 1'
_space_group_IT_number 1
_space_group_name_Hall 'P 1'
_cell_length_a 4.0149
_cell_length_b 4.0968
_cell_length_c 9.3378
_cell_angle_alpha 102.64
_cell_angle_beta 102.41
_cell_angle_gamma 90.00
loop_
_atom_site_label
_atom_site_type_symbol
_atom_site_fract_x
_atom_site_fract_y
_atom_site_fract_z
Li1 Li 0.0000 0.0000 0.0000
Li2 Li 0.1099 0.6092 0.2206
Li3 Li 0.2436 0.2440 0.4881
Li4 Li 0.8878 0.3877 0.7752
Ti1 Ti 0.3714 0.8725 0.7424
Ti2 Ti 0.6209 0.1204 0.2456
Fe1 Fe 0.4973 0.4972 0.9944
Fe2 Fe 0.7542 0.7544 0.5089
O1 O 0.1202 0.1190 0.2391
O2 O 0.2610 0.7609 0.5225
O3 O 0.3748 0.3736 0.7492
O4 O 0.4992 0.9991 0.9984
O5 O 0.6234 0.6240 0.2471
O6 O 0.7307 0.2308 0.4617
O7 O 0.8760 0.8755 0.7517
O8 O 0.9980 0.4980 0.9960
```

Principal peaks in the range 2θ = 5–70°, sorted by position:
| (hkl) | d (Å) | two_theta | I_rel |
| --- | --- | --- | --- |
| 1 0 0 | 3.916 | 22.71 | 100 |
| 0 1 -2 | 3.370 | 26.45 | 91 |
| 0 0 4 | 2.222 | 40.60 | 78 |
| 0 2 -1 | 2.048 | 44.22 | 64 |
| 2 0 -1 | 2.007 | 45.17 | 60 |
| 0 2 3 | 1.506 | 61.58 | 37 |



Entry 4:
Diffraction record for Li2Fe3CoO8. The powder XRD pattern is calculated, not measured: it uses a cell relaxed with PBE+U and Cu Kα, 1.54184 Å.

Structure:
```
data_Li2Fe3CoO8
_chemical_formula_sum 'Li8 Fe12 Co4 O32'
_space_group_name_H-M_alt 'P 1'
_space_group_IT_number 1
_space_group_name_Hall 'P 1'
_cell_length_a 8.3671
_cell_length_b 8.3984
_cell_length_c 8.4474
_cell_angle_alpha 90.16
_cell_angle_beta 90.13
_cell_angle_gamma 90.09
loop_
_atom_site_label
_atom_site_type_symbol
_atom_site_fract_x
_atom_site_fract_y
_atom_site_fract_z
Li1 Li 0.0000 0.0000 0.0000
Li2 Li 0.0009 0.4983 0.5008
Li3 Li 0.1260 0.1250 0.6272
Li4 Li 0.3721 0.8728 0.1289
Li5 Li 0.4997 0.0001 0.5009
Li6 Li 0.5018 0.4982 0.0022
Li7 Li 0.6295 0.3718 0.3759
Li8 Li 0.8730 0.6222 0.8731
Fe1 Fe 0.1253 0.3717 0.8693
Fe2 Fe 0.1274 0.6292 0.1260
Fe3 Fe 0.1306 0.8734 0.3748
Fe4 Fe 0.3670 0.1213 0.8720
Fe5 Fe 0.3729 0.3664 0.6272
Fe6 Fe 0.3744 0.6272 0.3702
Fe7 Fe 0.6259 0.1225 0.1324
Fe8 Fe 0.6264 0.8673 0.8761
Fe9 Fe 0.6310 0.6235 0.6266
Fe10 Fe 0.8711 0.3714 0.1296
Fe11 Fe 0.8741 0.1309 0.3771
Fe12 Fe 0.8746 0.8719 0.6313
Co1 Co 0.2494 0.7462 0.7492
Co2 Co 0.2549 0.2466 0.2519
Co3 Co 0.7493 0.2477 0.7528
Co4 Co 0.7501 0.7465 0.2521
O1 O 0.1115 0.8715 0.6099
O2 O 0.1143 0.1129 0.3725
O3 O 0.1143 0.3802 0.1194
O4 O 0.1205 0.8565 0.1454
O5 O 0.1290 0.6071 0.8922
O6 O 0.1374 0.6337 0.3653
O7 O 0.1401 0.1411 0.8724
O8 O 0.1400 0.3758 0.6444
O9 O 0.3533 0.8638 0.3770
O10 O 0.3623 0.3614 0.8676
O11 O 0.3630 0.6242 0.1477
O12 O 0.3655 0.3781 0.3875
O13 O 0.3790 0.1418 0.6409
O14 O 0.3817 0.1292 0.1182
O15 O 0.3852 0.8877 0.8748
O16 O 0.3863 0.6091 0.6082
O17 O 0.6083 0.6249 0.3905
O18 O 0.6101 0.1123 0.8931
O19 O 0.6121 0.3889 0.6275
O20 O 0.6226 0.6399 0.8551
O21 O 0.6287 0.8858 0.1119
O22 O 0.6335 0.8603 0.6349
O23 O 0.6414 0.1206 0.3553
O24 O 0.6464 0.3568 0.1264
O25 O 0.8570 0.6381 0.6233
O26 O 0.8594 0.8751 0.8571
O27 O 0.8672 0.1378 0.1359
O28 O 0.8704 0.1103 0.6106
O29 O 0.8773 0.3579 0.3597
O30 O 0.8850 0.6022 0.1295
O31 O 0.8912 0.8841 0.3870
O32 O 0.8926 0.3685 0.8920
```

Principal peaks in the range 2θ = 5–70°, sorted by position:
| (hkl) | d (Å) | two_theta | I_rel |
| --- | --- | --- | --- |
| 1 -1 1 | 4.852 | 18.28 | 100 |
| 1 1 -3 | 2.545 | 35.27 | 59 |
| 1 -3 1 | 2.536 | 35.39 | 58 |
| 3 1 -1 | 2.528 | 35.50 | 98 |
| 0 4 4 | 1.487 | 62.44 | 41 |
| 4 -4 0 | 1.484 | 62.61 | 41 |



Entry 5:
Diffraction record for Ba2Gd2Co4O11. The powder XRD pattern is calculated, not measured: it uses a cell relaxed with PBE+U and Cu Kα, 1.54184 Å.

Structure:
```
data_Ba2Gd2Co4O11
_chemical_formula_sum 'Ba2 Gd2 Co4 O11'
_space_group_name_H-M_alt 'P m m m'
_space_group_IT_number 47
_space_group_name_Hall '-P 2 2'
_cell_length_a 3.8605
_cell_length_b 7.5911
_cell_length_c 8.0554
_cell_angle_alpha 90.00
_cell_angle_beta 90.00
_cell_angle_gamma 90.00
loop_
_atom_site_label
_atom_site_type_symbol
_atom_site_fract_x
_atom_site_fract_y
_atom_site_fract_z
Ba1 Ba 0.0000 0.0000 0.2435
Gd1 Gd 0.0000 0.5000 0.2738
Co1 Co 0.5000 0.2496 0.5000
Co2 Co 0.5000 0.2713 0.0000
O1 O 0.0000 0.2739 0.5000
O2 O 0.0000 0.3165 0.0000
O3 O 0.5000 0.0000 0.0000
O4 O 0.5000 0.0000 0.5000
O5 O 0.5000 0.2956 0.2372
O6 O 0.5000 0.5000 0.5000
```

Principal peaks in the range 2θ = 5–70°, sorted by position:
| (hkl) | d (Å) | two_theta | I_rel |
| --- | --- | --- | --- |
| 1 0 2 | 2.787 | 32.12 | 95 |
| 0 2 2 | 2.762 | 32.41 | 100 |
| 1 2 0 | 2.707 | 33.10 | 99 |
| 1 2 2 | 2.246 | 40.14 | 43 |
| 2 2 2 | 1.582 | 58.32 | 37 |
| 1 4 2 | 1.569 | 58.87 | 39 |



Entry 6:
Diffraction record for Co2OF3. The powder XRD pattern is calculated, not measured: it uses a cell relaxed with PBE+U and Cu Kα, 1.54184 Å.

Structure:
```
data_Co2OF3
_chemical_formula_sum 'Co8 O4 F12'
_space_group_name_H-M_alt 'C 1 2/m 1'
_space_group_IT_number 12
_space_group_name_Hall '-C 2y'
_cell_length_a 6.4990
_cell_length_b 6.8502
_cell_length_c 6.1130
_cell_angle_alpha 90.00
_cell_angle_beta 90.27
_cell_angle_gamma 90.00
loop_
_atom_site_label
_atom_site_type_symbol
_atom_site_fract_x
_atom_site_fract_y
_atom_site_fract_z
Co1 Co 0.0000 0.0000 0.0000
Co2 Co 0.0000 0.0000 0.5000
Co3 Co 0.0373 0.5000 0.2502
O1 O 0.1756 0.0000 0.7388
F1 F 0.0000 0.3021 0.0000
F2 F 0.0000 0.3022 0.5000
F3 F 0.2177 0.0000 0.2516
```

Principal peaks in the range 2θ = 5–70°, sorted by position:
| (hkl) | d (Å) | two_theta | I_rel |
| --- | --- | --- | --- |
| 0 2 0 | 3.425 | 26.02 | 100 |
| 2 0 0 | 3.249 | 27.45 | 86 |
| 1 1 -2 | 2.569 | 34.93 | 54 |
| 1 1 2 | 2.561 | 35.04 | 50 |
| 1 3 -2 | 1.761 | 51.93 | 66 |
| 0 4 0 | 1.714 | 53.47 | 42 |



Entry 7:
Diffraction record for CaCrF6. The powder XRD pattern is calculated, not measured: it uses a cell relaxed with PBE+U and Cu Kα, 1.54184 Å.

Structure:
```
data_CaCrF6
_chemical_formula_sum 'Ca3 Cr3 F18'
_space_group_name_H-M_alt 'R -3'
_space_group_IT_number 148
_space_group_name_Hall '-R 3'
_cell_length_a 5.5428
_cell_length_b 5.5428
_cell_length_c 14.3891
_cell_angle_alpha 90.00
_cell_angle_beta 90.00
_cell_angle_gamma 120.00
loop_
_atom_site_label
_atom_site_type_symbol
_atom_site_fract_x
_atom_site_fract_y
_atom_site_fract_z
Ca1 Ca 0.0000 0.0000 0.0000
Cr1 Cr 0.0000 0.0000 0.5000
F1 F 0.0382 0.6155 0.2417
```

Principal peaks in the range 2θ = 5–70°, sorted by position:
| (hkl) | d (Å) | two_theta | I_rel |
| --- | --- | --- | --- |
| 0 1 2 | 3.993 | 22.26 | 100 |
| 1 0 4 | 2.879 | 31.07 | 14 |
| 1 1 3 | 2.400 | 37.48 | 19 |
| 0 2 4 | 1.997 | 45.43 | 20 |
| 1 1 6 | 1.813 | 50.31 | 24 |
| 1 2 2 | 1.759 | 51.98 | 11 |



Entry 8:
Diffraction record for Ca2V2O5. The powder XRD pattern is calculated, not measured: it uses a cell relaxed with PBE+U and Cu Kα, 1.54184 Å.

Structure:
```
data_Ca2V2O5
_chemical_formula_sum 'Ca4 V4 O10'
_space_group_name_H-M_alt 'P b a m'
_space_group_IT_number 55
_space_group_name_Hall '-P 2 2ab'
_cell_length_a 5.5255
_cell_length_b 10.2691
_cell_length_c 3.9719
_cell_angle_alpha 90.00
_cell_angle_beta 90.00
_cell_angle_gamma 90.00
loop_
_atom_site_label
_atom_site_type_symbol
_atom_site_fract_x
_atom_site_fract_y
_atom_site_fract_z
Ca1 Ca 0.2087 0.1247 0.0000
V1 V 0.2253 0.3731 0.5000
O1 O 0.0000 0.0000 0.5000
O2 O 0.1032 0.7011 0.5000
O3 O 0.2116 0.3933 0.0000
```

Principal peaks in the range 2θ = 5–70°, sorted by position:
| (hkl) | d (Å) | two_theta | I_rel |
| --- | --- | --- | --- |
| 2 0 0 | 2.763 | 32.41 | 41 |
| 1 2 1 | 2.731 | 32.79 | 100 |
| 0 4 0 | 2.567 | 34.95 | 39 |
| 0 0 2 | 1.986 | 45.68 | 34 |
| 2 4 0 | 1.881 | 48.40 | 36 |
| 1 6 1 | 1.512 | 61.32 | 23 |



Entry 9:
Diffraction record for Li2MnF6. The powder XRD pattern is calculated, not measured: it uses a cell relaxed with PBE+U and Cu Kα, 1.54184 Å.

Structure:
```
data_Li2MnF6
_chemical_formula_sum 'Li2 Mn1 F6'
_space_group_name_H-M_alt 'P -3 m 1'
_space_group_IT_number 164
_space_group_name_Hall '-P 3 2"'
_cell_length_a 5.7396
_cell_length_b 5.7396
_cell_length_c 4.8600
_cell_angle_alpha 90.00
_cell_angle_beta 90.00
_cell_angle_gamma 120.00
loop_
_atom_site_label
_atom_site_type_symbol
_atom_site_fract_x
_atom_site_fract_y
_atom_site_fract_z
Li1 Li 0.3333 0.6667 0.2735
Mn1 Mn 0.0000 0.0000 0.0000
F1 F 0.1511 0.3023 0.2184
```

Principal peaks in the range 2θ = 5–70°, sorted by position:
| (hkl) | d (Å) | two_theta | I_rel |
| --- | --- | --- | --- |
| 1 0 0 | 4.971 | 17.84 | 100 |
| 0 0 1 | 4.860 | 18.25 | 27 |
| 0 1 1 | 3.475 | 25.64 | 60 |
| 0 2 1 | 2.213 | 40.78 | 29 |
| 1 2 1 | 1.752 | 52.20 | 16 |
| 0 2 2 | 1.737 | 52.68 | 18 |



Entry 10:
Diffraction record for MgMn6O7F5. The powder XRD pattern is calculated, not measured: it uses a cell relaxed with PBE+U and Cu Kα, 1.54184 Å.

Structure:
```
data_MgMn6O7F5
_chemical_formula_sum 'Mg1 Mn6 O7 F5'
_space_group_name_H-M_alt 'P 1'
_space_group_IT_number 1
_space_group_name_Hall 'P 1'
_cell_length_a 5.1962
_cell_length_b 5.8214
_cell_length_c 7.7280
_cell_angle_alpha 82.62
_cell_angle_beta 83.90
_cell_angle_gamma 80.95
loop_
_atom_site_label
_atom_site_type_symbol
_atom_site_fract_x
_atom_site_fract_y
_atom_site_fract_z
Mg1 Mg 0.0000 0.0000 0.0000
Mn1 Mn 0.0487 0.9971 0.5038
Mn2 Mn 0.1110 0.3877 0.1748
Mn3 Mn 0.4869 0.1455 0.7990
Mn4 Mn 0.4927 0.4915 0.4946
Mn5 Mn 0.5099 0.8146 0.1695
Mn6 Mn 0.9632 0.6208 0.8089
O1 O 0.1535 0.3094 0.9079
O2 O 0.1695 0.6779 0.5876
O3 O 0.1754 0.0080 0.2409
O4 O 0.3696 0.2005 0.5720
O5 O 0.3958 0.5237 0.2633
O6 O 0.8493 0.9683 0.7464
O7 O 0.8580 0.6775 0.0602
F1 F 0.3416 0.8311 0.9183
F2 F 0.6265 0.1253 0.0506
F3 F 0.6507 0.4697 0.7250
F4 F 0.6588 0.7772 0.4199
F5 F 0.8680 0.3122 0.4143
```

Principal peaks in the range 2θ = 5–70°, sorted by position:
| (hkl) | d (Å) | two_theta | I_rel |
| --- | --- | --- | --- |
| 1 1 1 | 3.881 | 22.91 | 100 |
| -1 1 1 | 3.239 | 27.54 | 83 |
| 0 2 -1 | 2.580 | 34.77 | 26 |
| 2 0 0 | 2.556 | 35.11 | 24 |
| 0 0 3 | 2.545 | 35.27 | 29 |
| 1 3 0 | 1.876 | 48.54 | 23 |